This entry pairs a crystal structure of Ca3AsI3 with its theoretical PXRD pattern. Radiation: λ = 1.5418 Å (Cu Kα). Structure: a cell relaxed with PBE.
Lines closer than 0.1° are merged.

Structure:
a = 9.0463 Å, b = 4.4260 Å, c = 12.5457 Å
α = 90.00°, β = 90.90°, γ = 90.00°
Atoms (fractional coordinates):
Ca: 0.0923 0.2500 0.3901
Ca: 0.1303 0.2500 0.8568
Ca: 0.3372 0.7500 0.6288
Ca: 0.6628 0.2500 0.3712
Ca: 0.8697 0.7500 0.1432
Ca: 0.9077 0.7500 0.6099
As: 0.1249 0.2500 0.6250
As: 0.8751 0.7500 0.3750
I: 0.1213 0.2500 0.1238
I: 0.3735 0.7500 0.8782
I: 0.3789 0.7500 0.3738
I: 0.6211 0.2500 0.6262
I: 0.6265 0.2500 0.1218
I: 0.8787 0.7500 0.8762

Peak list (10 most intense, 10 to 80 degrees two-theta, in order of rising 2θ)
d [Å]	2theta	I/Imax
3.696	24.08	26
3.641	24.44	24
3.616	24.62	46
3.163	28.21	100
3.136	28.46	49
2.261	39.87	18
2.239	40.27	35
2.215	40.74	36
2.213	40.77	19
1.808	50.47	19

---

This entry pairs a crystal structure of Ca4AsI5 with its theoretical PXRD pattern. Radiation: λ = 1.5418 Å (Cu Kα). Structure: a cell relaxed with PBE.
Lines closer than 0.1° are merged.

Structure:
a = 10.0403 Å, b = 10.0403 Å, c = 8.9033 Å
α = 102.60°, β = 102.60°, γ = 25.54°
Atoms (fractional coordinates):
Ca: 0.0009 0.0009 0.2236
Ca: 0.3470 0.3470 0.9162
Ca: 0.6530 0.6530 0.0838
Ca: 0.9991 0.9991 0.7764
As: 0.5000 0.5000 0.0000
I: 0.1658 0.1658 0.3338
I: 0.1703 0.1703 0.8377
I: 0.5000 0.5000 0.5000
I: 0.8297 0.8297 0.1623
I: 0.8342 0.8342 0.6662

Peak list (10 most intense, 10 to 80 degrees two-theta, in order of rising 2θ)
d [Å]	2theta	I/Imax
3.644	24.43	100
3.181	28.05	46
3.143	28.39	90
2.239	40.28	34
2.233	40.39	33
2.226	40.53	16
2.220	40.65	17
1.899	47.90	17
1.896	47.98	16
1.820	50.11	26

---

Copy entry 1 word for word.
This entry pairs a crystal structure of Ca3AsI3 with its theoretical PXRD pattern. Radiation: λ = 1.5418 Å (Cu Kα). Structure: a cell relaxed with PBE.
Lines closer than 0.1° are merged.

Structure:
a = 9.0463 Å, b = 4.4260 Å, c = 12.5457 Å
α = 90.00°, β = 90.90°, γ = 90.00°
Atoms (fractional coordinates):
Ca: 0.0923 0.2500 0.3901
Ca: 0.1303 0.2500 0.8568
Ca: 0.3372 0.7500 0.6288
Ca: 0.6628 0.2500 0.3712
Ca: 0.8697 0.7500 0.1432
Ca: 0.9077 0.7500 0.6099
As: 0.1249 0.2500 0.6250
As: 0.8751 0.7500 0.3750
I: 0.1213 0.2500 0.1238
I: 0.3735 0.7500 0.8782
I: 0.3789 0.7500 0.3738
I: 0.6211 0.2500 0.6262
I: 0.6265 0.2500 0.1218
I: 0.8787 0.7500 0.8762

Peak list (10 most intense, 10 to 80 degrees two-theta, in order of rising 2θ)
d [Å]	2theta	I/Imax
3.696	24.08	26
3.641	24.44	24
3.616	24.62	46
3.163	28.21	100
3.136	28.46	49
2.261	39.87	18
2.239	40.27	35
2.215	40.74	36
2.213	40.77	19
1.808	50.47	19

---

> Number 2 is which compound?

Ca4AsI5

---

Repeat the second record exactly.
This entry pairs a crystal structure of Ca4AsI5 with its theoretical PXRD pattern. Radiation: λ = 1.5418 Å (Cu Kα). Structure: a cell relaxed with PBE.
Lines closer than 0.1° are merged.

Structure:
a = 10.0403 Å, b = 10.0403 Å, c = 8.9033 Å
α = 102.60°, β = 102.60°, γ = 25.54°
Atoms (fractional coordinates):
Ca: 0.0009 0.0009 0.2236
Ca: 0.3470 0.3470 0.9162
Ca: 0.6530 0.6530 0.0838
Ca: 0.9991 0.9991 0.7764
As: 0.5000 0.5000 0.0000
I: 0.1658 0.1658 0.3338
I: 0.1703 0.1703 0.8377
I: 0.5000 0.5000 0.5000
I: 0.8297 0.8297 0.1623
I: 0.8342 0.8342 0.6662

Peak list (10 most intense, 10 to 80 degrees two-theta, in order of rising 2θ)
d [Å]	2theta	I/Imax
3.644	24.43	100
3.181	28.05	46
3.143	28.39	90
2.239	40.28	34
2.233	40.39	33
2.226	40.53	16
2.220	40.65	17
1.899	47.90	17
1.896	47.98	16
1.820	50.11	26